Structure and simulated PXRD pattern of Pr2Sm2DyHo (DFT lattice parameters and positions (PBE); λ = 1.5418 Å (Cu Kα)).
Lines closer than 0.1° are merged.

Peak list (10 most intense, 15° ≤ 2θ ≤ 90°, low angle first)
| (hkl) | d (Å) | I_rel |
| --- | --- | --- |
| 2 1 1 | 2.884 | 92 |
| 0 2 0 | 2.860 | 100 |
| 2 2 2 | 2.031 | 34 |
| 2 3 1 | 1.656 | 35 |
| 0 3 3 | 1.651 | 19 |
| 4 2 0 | 1.507 | 29 |
| 0 4 0 | 1.430 | 12 |
| 2 4 2 | 1.281 | 15 |
| 4 3 3 | 1.208 | 14 |
| 4 4 0 | 1.113 | 11 |

Cell and atoms:
```
12
Lattice="7.092 0.000 0.000 0.000 5.718 0.000 0.000 0.000 9.913" Properties=species:S:1:pos:R:3 pbc="T T T"
Pr 0.000 0.000 0.000
Pr 1.773 2.859 1.755
Pr 3.546 0.000 0.000
Pr 5.319 2.859 8.158
Sm 1.773 0.000 3.297
Sm 1.773 2.859 8.288
Sm 5.319 0.000 6.616
Sm 5.319 2.859 1.624
Dy 1.773 0.000 6.536
Dy 5.319 0.000 3.377
Ho 0.000 2.859 4.956
Ho 3.546 2.859 4.956
```